# 1
Theoretical powder XRD pattern of Mn3HgC for Cu Ka, from DFT lattice parameters and positions (GGA-PBE).
Peak positions follow from Bragg's law for the DFT cell and can differ from measured ones.

Main lines, by angle (2θ = 10–90°):
Position (°2θ), I_rel, hkl
22.31, 40.6, 1 0 0
31.76, 49.2, 1 1 0
39.16, 100.0, 1 1 1
45.54, 53.7, 2 0 0
51.28, 21.1, 2 1 0
56.59, 20.0, 2 1 1
66.36, 33.3, 2 2 0
70.97, 10.8, 3 0 0
75.45, 9.0, 3 1 0
79.85, 36.1, 3 1 1
84.18, 11.5, 2 2 2
88.48, 5.4, 3 2 0

```
data_Mn3HgC
_chemical_formula_sum 'Mn3 Hg1 C1'
_symmetry_space_group_name_H-M 'P m -3 m'
_symmetry_Int_Tables_number 221
_symmetry_space_group_name_Hall '-P 4 2 3'
_cell_length_a 3.9841
_cell_length_b 3.9841
_cell_length_c 3.9841
_cell_angle_alpha 90.00
_cell_angle_beta 90.00
_cell_angle_gamma 90.00
loop_
_atom_site_label
_atom_site_fract_x
_atom_site_fract_y
_atom_site_fract_z
Mn1 0.0000 0.0000 0.5000
Hg1 0.5000 0.5000 0.5000
C1 0.0000 0.0000 0.0000
```

# 2
Theoretical powder XRD pattern of SrSb4Pd12 for Cu Ka, from DFT lattice parameters and positions (GGA-PBE).
Peak positions follow from Bragg's law for the DFT cell and can differ from measured ones.

Main lines, by angle (2θ = 10–90°):
Position (°2θ), I_rel, hkl
19.82, 8.3, 2 0 0
28.17, 13.6, 2 2 0
31.57, 100.0, 3 1 0
37.56, 33.1, 3 2 1
45.26, 38.4, 4 2 0
49.85, 34.3, 4 2 2
52.04, 35.5, 4 1 3
65.93, 9.5, 6 0 2
71.39, 13.8, 6 3 1
73.17, 9.6, 4 4 4
81.87, 10.1, 7 0 3
85.28, 6.6, 7 3 2

```
data_SrSb4Pd12
_chemical_formula_sum 'Sr2 Sb8 Pd24'
_symmetry_space_group_name_H-M 'I m -3'
_symmetry_Int_Tables_number 204
_symmetry_space_group_name_Hall '-I 2 2 3'
_cell_length_a 8.9609
_cell_length_b 8.9609
_cell_length_c 8.9609
_cell_angle_alpha 90.00
_cell_angle_beta 90.00
_cell_angle_gamma 90.00
loop_
_atom_site_label
_atom_site_fract_x
_atom_site_fract_y
_atom_site_fract_z
Sr1 0.0000 0.0000 0.0000
Sb1 0.2500 0.2500 0.2500
Pd1 0.0000 0.1545 0.3522
```

# 3
Theoretical powder XRD pattern of Ba3MgBe2S6 for Cu Ka, from DFT lattice parameters and positions (GGA-PBE).
Peak positions follow from Bragg's law for the DFT cell and can differ from measured ones.

Main lines, by angle (2θ = 10–90°):
Position (°2θ), I_rel, hkl
11.04, 16.7, 0 0 1
18.46, 100.0, 1 0 1
25.68, 72.0, 1 1 0
26.74, 63.3, 0 1 2
31.81, 100.0, 0 2 1
33.55, 23.3, 0 0 3
37.42, 69.8, 2 0 2
41.32, 27.4, 2 1 1
42.73, 26.6, 1 1 3
45.94, 28.3, 1 2 2
52.78, 28.5, 2 2 0
64.00, 22.4, 2 2 3

```
data_Ba3MgBe2S6
_chemical_formula_sum 'Ba3 Mg1 Be2 S6'
_symmetry_space_group_name_H-M 'P -3 m 1'
_symmetry_Int_Tables_number 164
_symmetry_space_group_name_Hall '-P 3 2"'
_cell_length_a 6.9379
_cell_length_b 6.9379
_cell_length_c 8.0130
_cell_angle_alpha 90.00
_cell_angle_beta 90.00
_cell_angle_gamma 120.00
loop_
_atom_site_label
_atom_site_fract_x
_atom_site_fract_y
_atom_site_fract_z
Ba1 0.0000 0.0000 0.0000
Ba2 0.3333 0.6667 0.6500
Mg1 0.0000 0.0000 0.5000
Be1 0.3333 0.6667 0.2682
S1 0.1698 0.3396 0.2950
```